Entry 1:
Theoretical powder X-ray diffraction pattern of NaErNpO6 for CuKα, from a cell relaxed with PBE.
Intensities are scaled so that the largest is 100.

Lattice parameters (Å, degrees): 5.142 5.142 10.175 90.00 90.00 90.00
Fractional positions:
Na 0.000 0.000 0.000
Na 0.500 0.500 0.500
Er 0.000 0.000 0.670
Er 0.500 0.500 0.170
Np 0.000 0.000 0.334
Np 0.500 0.500 0.834
O 0.176 0.176 0.485
O 0.194 0.194 0.194
O 0.222 0.222 0.823
O 0.278 0.722 0.323
O 0.306 0.694 0.694
O 0.324 0.676 0.985
O 0.676 0.324 0.985
O 0.694 0.306 0.694
O 0.722 0.278 0.323
O 0.778 0.778 0.823
O 0.806 0.806 0.194
O 0.824 0.824 0.485

Main lines, by intensity (5° ≤ 2θ ≤ 70°):
d/Å	two_theta	I (rel.)
3.636	24.48	100
2.831	31.60	85
1.903	47.79	70
4.589	19.34	67
2.571	34.90	26
5.088	17.43	24
2.958	30.21	21
1.530	60.52	20
2.243	40.21	18
1.818	50.18	18
1.626	56.60	17
1.537	60.21	17

Entry 2:
Theoretical powder X-ray diffraction pattern of Pm6NdYHo2 for CuKα, from a cell relaxed with PBE.
Intensities are scaled so that the largest is 100.

Lattice parameters (Å, degrees): 8.943 8.943 9.721 94.00 94.00 117.91
Fractional positions:
Pm 0.019 0.567 0.184
Pm 0.116 0.758 0.554
Pm 0.242 0.884 0.946
Pm 0.293 0.506 0.380
Pm 0.433 0.981 0.316
Pm 0.494 0.707 0.120
Pm 0.506 0.293 0.880
Pm 0.567 0.019 0.684
Pm 0.707 0.494 0.620
Pm 0.758 0.116 0.054
Pm 0.884 0.242 0.446
Pm 0.981 0.433 0.816
Nd 0.407 0.593 0.750
Nd 0.593 0.407 0.250
Y 0.027 0.973 0.250
Y 0.973 0.027 0.750
Ho 0.196 0.296 0.045
Ho 0.296 0.196 0.545
Ho 0.704 0.804 0.455
Ho 0.804 0.704 0.955

Main lines, by intensity (5° ≤ 2θ ≤ 70°):
d/Å	two_theta	I (rel.)
2.965	30.14	100
2.881	31.04	89
2.691	33.29	44
2.906	30.77	35
3.169	28.16	34
2.816	31.78	24
2.936	30.45	16
1.658	55.43	14
2.640	33.96	14
3.232	27.60	13
1.822	50.05	12
2.750	32.56	12

Entry 3:
Theoretical powder X-ray diffraction pattern of Si3Ni8 for CuKα, from a cell relaxed with PBE.
Intensities are scaled so that the largest is 100.

Lattice parameters (Å, degrees): 5.177 5.177 5.177 86.30 86.30 86.30
Fractional positions:
Si 0.000 0.500 0.500
Si 0.500 0.000 0.500
Si 0.500 0.500 0.000
Ni 0.158 0.769 0.769
Ni 0.231 0.231 0.842
Ni 0.231 0.842 0.231
Ni 0.380 0.380 0.380
Ni 0.620 0.620 0.620
Ni 0.769 0.158 0.769
Ni 0.769 0.769 0.158
Ni 0.842 0.231 0.231

Main lines, by intensity (5° ≤ 2θ ≤ 70°):
d/Å	two_theta	I (rel.)
2.252	40.03	100
2.221	40.63	50
1.719	53.29	35
1.770	51.63	33
2.579	34.79	32
1.619	56.88	19
1.881	48.38	14
3.763	23.65	14
2.084	43.41	11
1.661	55.30	9
1.472	63.16	8
2.364	38.06	7